Structure and computed X-ray powder pattern of KZr6CI14 (DFT lattice parameters and positions (PBE); a wavelength of 1.5418 Å).
Peak positions follow from Bragg's law for the DFT cell and can differ from measured ones.

Structure:
Cell lengths 16.061, 15.973, 12.847 Å; angles 90.00, 90.00, 90.00 degrees
Space group Cmce (No. 64)
Inequivalent atoms, fractional coordinates:
1 K 0.000 0.000 0.000 x4
2 Zr 0.000 0.119 0.407 x8
3 Zr 0.104 0.056 0.610 x16
4 C 0.000 0.000 0.500 x4
5 I 0.000 0.138 0.768 x8
6 I 0.123 0.086 0.247 x16
7 I 0.124 0.220 0.510 x16
8 I 0.249 0.000 0.000 x8
9 I 0.250 0.136 0.750 x8

The 6 most intense peaks (10 to 90 degrees two-theta), by intensity:
2θ 10.41, I 100.0
2θ 32.56, I 99.3
2θ 26.28, I 91.2
2θ 28.50, I 90.2
2θ 25.78, I 49.2
2θ 27.78, I 35.5

Structure and computed X-ray powder pattern of Ag12AuF6 (DFT lattice parameters and positions (PBE); a wavelength of 1.5418 Å).
Peak positions follow from Bragg's law for the DFT cell and can differ from measured ones.

Structure:
Cell lengths 11.6826, 11.6826, 7.8541 Å; angles 90.00, 90.00, 120.00 degrees
Space group R-3 (No. 148, hexagonal axes)
Inequivalent atoms, fractional coordinates:
1 Ag 0.0225 0.1576 0.2134 x18
2 Ag 0.0368 0.2521 0.5707 x18
3 Au 0.0000 0.0000 0.5000 x3
4 F 0.0584 0.2646 0.9519 x18

The 6 most intense peaks (10 to 90 degrees two-theta), by intensity:
2θ 37.35, I 100.0
2θ 14.28, I 95.9
2θ 33.92, I 95.7
2θ 37.65, I 93.3
2θ 39.47, I 86.1
2θ 40.87, I 84.4

Structure and computed X-ray powder pattern of Cu8Ni4Pt (DFT lattice parameters and positions (PBE); a wavelength of 1.5418 Å).
Peak positions follow from Bragg's law for the DFT cell and can differ from measured ones.

Structure:
Cell lengths 4.9556, 4.9556, 23.9394 Å; angles 90.00, 90.00, 120.00 degrees
Space group R-3m (No. 166, hexagonal axes)
Inequivalent atoms, fractional coordinates:
1 Cu 0.0000 0.0000 0.1829 x6
2 Cu 0.0019 0.5010 0.7559 x18
3 Ni 0.0000 0.0000 0.5000 x3
4 Ni 0.0000 0.5000 0.0000 x9
5 Pt 0.0000 0.0000 0.0000 x3

The 6 most intense peaks (10 to 90 degrees two-theta), by intensity:
2θ 44.87, I 100.0
2θ 42.97, I 61.8
2θ 22.00, I 51.5
2θ 52.47, I 44.0
2θ 45.47, I 34.1
2θ 46.37, I 34.0